Ca2Co3P4: theoretical PXRD pattern (Cu Kα, 1.54184 Å), based on a PBE-relaxed structure.
Lines closer than 0.1° are merged.

Cell and atoms:
```
Ca2Co3P4
1.0
0.0000 4.6210 6.1156
2.6418 0.0000 6.1156
2.6418 4.6210 0.0000
Ca Co P
2 3 4
Direct
0.1455 0.1455 0.8545
0.8545 0.8545 0.1455
0.0000 0.0000 0.5000
0.5000 0.5000 0.0000
0.5000 0.5000 0.5000
0.2063 0.5284 0.4716
0.4716 0.7937 0.2063
0.5284 0.2063 0.7937
0.7937 0.4716 0.5284
```

The 10 most intense peaks (5 to 70 degrees two-theta), low angle first:
2θ = 14.5°, I 100; 2θ = 20.7°, I 24; 2θ = 29.3°, I 24; 2θ = 39.3°, I 33; 2θ = 40.5°, I 70; 2θ = 41.8°, I 19; 2θ = 42.1°, I 33; 2θ = 44.4°, I 19; 2θ = 45.4°, I 29; 2θ = 60.6°, I 19

Ca2CoPb: theoretical PXRD pattern (Cu Kα, 1.54184 Å), based on a PBE-relaxed structure.
Lines closer than 0.1° are merged.

Cell and atoms:
```
Ca2CoPb
1.0
4.4269 0.0000 0.0000
0.0000 4.4648 0.0000
0.0000 0.0000 11.1264
Ca Co Pb
4 2 2
Direct
0.0000 0.0000 0.0000
0.0000 0.5000 0.5000
0.5000 0.0000 0.2914
0.5000 0.5000 0.7914
0.0000 0.0000 0.7107
0.0000 0.5000 0.2107
0.5000 0.0000 0.5861
0.5000 0.5000 0.0861
```

The 10 most intense peaks (5 to 70 degrees two-theta), low angle first:
2θ = 15.9°, I 87; 2θ = 21.4°, I 95; 2θ = 25.7°, I 33; 2θ = 29.5°, I 100; 2θ = 31.4°, I 48; 2θ = 37.5°, I 94; 2θ = 38.2°, I 53; 2θ = 40.4°, I 29; 2θ = 40.8°, I 28; 2θ = 56.8°, I 33

CaPm12Co6: theoretical PXRD pattern (Cu Kα, 1.54184 Å), based on a PBE-relaxed structure.
Lines closer than 0.1° are merged.

Cell and atoms:
```
CaPm12Co6
1.0
-5.0429 5.0429 5.0429
5.0429 -5.0429 5.0429
5.0429 5.0429 -5.0429
Ca Pm Co
1 12 6
Direct
0.0000 0.0000 0.0000
0.1165 0.8034 0.3130
0.1966 0.3130 0.5096
0.1966 0.6870 0.8835
0.3130 0.1165 0.8034
0.3130 0.5096 0.1966
0.4904 0.8034 0.6870
0.5096 0.1966 0.3130
0.6870 0.4904 0.8034
0.6870 0.8835 0.1966
0.8034 0.3130 0.1165
0.8034 0.6870 0.4904
0.8835 0.1966 0.6870
0.1104 0.6104 0.5000
0.3896 0.5000 0.8896
0.5000 0.1104 0.6104
0.5000 0.8896 0.3896
0.6104 0.5000 0.1104
0.8896 0.3896 0.5000
```

The 10 most intense peaks (5 to 70 degrees two-theta), low angle first:
2θ = 12.4°, I 18; 2θ = 28.0°, I 52; 2θ = 30.7°, I 46; 2θ = 33.2°, I 100; 2θ = 35.6°, I 16; 2θ = 45.9°, I 28; 2θ = 52.9°, I 37; 2θ = 54.6°, I 14; 2θ = 56.2°, I 37; 2θ = 65.4°, I 17